Record 1
Starting from a DFT-relaxed cell (GGA-PBE, Alexandria), the X-ray diffraction stick pattern of CrCd2In was computed for Cu Ka.

Main lines, low angle first (2θ = 10–90°):
29.8°, I 12; 35.2°, I 100; 39.7°, I 39; 43.2°, I 11; 51.9°, I 8; 57.4°, I 12; 60.1°, I 15; 62.6°, I 8; 69.2°, I 25; 74.5°, I 8

Structural model:
abc: 3.211 3.211 8.369
angles: 90.00 90.00 90.00
Space group P4/mmm (No. 123)
Inequivalent atoms, fractional coordinates:
Cr: 0.000 0.000 0.000 x1
Cd: 0.500 0.500 0.220 x2
In: 0.000 0.000 0.500 x1

Record 2
Starting from a DFT-relaxed cell (GGA-PBE, Alexandria), the X-ray diffraction stick pattern of CrCdInSe4 was computed for Cu Ka.

Main lines, low angle first (2θ = 10–90°):
22.4°, I 34; 26.1°, I 36; 26.4°, I 53; 31.5°, I 27; 32.1°, I 56; 41.4°, I 28; 42.0°, I 32; 45.6°, I 100; 45.8°, I 24; 46.3°, I 28

Structural model:
abc: 7.850 7.922 11.344
angles: 90.00 90.00 90.00
Space group Imma (No. 74)
Inequivalent atoms, fractional coordinates:
Cr: 0.250 0.250 0.250 x4
Cd: 0.000 0.250 0.625 x4
In: 0.000 0.000 0.000 x4
Se: 0.000 0.035 0.246 x8
Se: 0.239 0.250 0.024 x8